# 1
Diffraction record for Li3Ni4O8. The PXRD pattern is simulated, not measured: it uses a DFT-relaxed cell (PBE+U, the Materials Project) and Cu Ka.
Kinematic intensities with the Lorentz-polarization factor, no thermal factor.

Crystal structure
```
Li3Ni4O8
1.0
5.0958 -2.8060 0.0000
5.0958 2.8060 0.0000
-3.2739 0.0000 4.7903
Li Ni O
3 4 8
Direct
0.0000 0.0000 0.0000
0.0000 0.5000 0.0000
0.5000 0.0000 0.0000
0.0000 0.0000 0.5000
0.0000 0.5000 0.5000
0.5000 0.0000 0.5000
0.5000 0.5000 0.5000
0.2233 0.2233 0.7057
0.2447 0.7537 0.2803
0.2463 0.7553 0.7197
0.2474 0.2474 0.2786
0.7526 0.7526 0.7214
0.7537 0.2447 0.2803
0.7553 0.2463 0.7197
0.7767 0.7767 0.2943
```

Largest 10 diffraction maxima, low angle first, 2θ from 10° to 90°:
| 2θ (°) | I_rel |
| --- | --- |
| 18.5 | 1000 |
| 35.6 | 162 |
| 37.2 | 229 |
| 38.6 | 88 |
| 43.0 | 225 |
| 44.9 | 388 |
| 48.4 | 127 |
| 59.0 | 98 |
| 63.8 | 112 |
| 64.1 | 113 |

---

# 2
Diffraction record for LiNiO2. The PXRD pattern is simulated, not measured: it uses a DFT-relaxed cell (PBE+U, the Materials Project) and Cu Ka.
Kinematic intensities with the Lorentz-polarization factor, no thermal factor.

Crystal structure
```
LiNiO2
1.0
-2.0254 2.0254 4.2258
2.0254 -2.0254 4.2258
2.0254 2.0254 -4.2258
Li Ni O
2 2 4
Direct
0.3750 0.6250 0.7500
0.6250 0.3750 0.2500
0.1250 0.8750 0.2500
0.8750 0.1250 0.7500
0.1035 0.3535 0.7500
0.3535 0.1035 0.2500
0.6465 0.8965 0.7500
0.8965 0.6465 0.2500
```

Largest 10 diffraction maxima, low angle first, 2θ from 10° to 90°:
| 2θ (°) | I_rel |
| --- | --- |
| 24.4 | 1000 |
| 37.9 | 221 |
| 38.9 | 152 |
| 42.8 | 242 |
| 44.7 | 459 |
| 51.6 | 233 |
| 59.2 | 109 |
| 63.6 | 253 |
| 65.1 | 126 |
| 81.1 | 114 |

---

# 3
Diffraction record for Li13Ni15O28. The PXRD pattern is simulated, not measured: it uses a DFT-relaxed cell (PBE+U, the Materials Project) and Cu Ka.
Kinematic intensities with the Lorentz-polarization factor, no thermal factor.

Crystal structure
```
Li13Ni15O28
1.0
7.6700 0.0000 0.0000
-2.1296 7.8721 0.0000
-2.2926 -2.7142 8.0137
Li Ni O
13 15 28
Direct
0.0000 0.0000 0.0000
0.0718 0.2129 0.7846
0.1427 0.4264 0.5726
0.2115 0.6445 0.3577
0.2882 0.8568 0.1434
0.3543 0.0715 0.9264
0.4298 0.2842 0.7162
0.5702 0.7158 0.2838
0.6457 0.9285 0.0736
0.7118 0.1432 0.8566
0.7885 0.3555 0.6423
0.8573 0.5736 0.4274
0.9282 0.7871 0.2154
0.0000 0.5000 0.0000
0.0752 0.7165 0.7861
0.1462 0.9308 0.5744
0.2129 0.1428 0.3578
0.2812 0.3584 0.1445
0.3620 0.5710 0.9279
0.4317 0.7850 0.7170
0.5000 0.0000 0.5000
0.5000 0.5000 0.5000
0.5683 0.2150 0.2830
0.6380 0.4290 0.0721
0.7188 0.6416 0.8555
0.7871 0.8572 0.6422
0.8538 0.0692 0.4256
0.9248 0.2835 0.2139
0.0054 0.2618 0.0192
0.0722 0.9521 0.7850
0.0900 0.4824 0.7960
0.1348 0.1644 0.5559
0.1565 0.6947 0.5921
0.2113 0.3762 0.3606
0.2289 0.9141 0.3637
0.2643 0.5886 0.1362
0.2947 0.1278 0.1584
0.3681 0.3409 0.9378
0.3694 0.8054 0.9194
0.4276 0.0326 0.6964
0.4512 0.5374 0.7216
0.4922 0.7494 0.5169
0.5078 0.2506 0.4831
0.5488 0.4626 0.2784
0.5724 0.9674 0.3036
0.6306 0.1946 0.0806
0.6319 0.6591 0.0622
0.7053 0.8722 0.8416
0.7357 0.4114 0.8638
0.7711 0.0859 0.6363
0.7887 0.6238 0.6394
0.8435 0.3053 0.4079
0.8652 0.8356 0.4441
0.9100 0.5176 0.2040
0.9278 0.0479 0.2150
0.9946 0.7382 0.9808
```

Largest 10 diffraction maxima, low angle first, 2θ from 10° to 90°:
| 2θ (°) | I_rel |
| --- | --- |
| 18.7 | 1000 |
| 36.1 | 152 |
| 36.4 | 140 |
| 36.5 | 139 |
| 37.9 | 162 |
| 43.7 | 309 |
| 44.2 | 297 |
| 44.4 | 295 |
| 48.4 | 97 |
| 64.1 | 164 |

---

# 4
Diffraction record for LiNiO2. The PXRD pattern is simulated, not measured: it uses a DFT-relaxed cell (PBE+U, the Materials Project) and Cu Ka.
Kinematic intensities with the Lorentz-polarization factor, no thermal factor.

Crystal structure
```
LiNiO2
1.0
5.0440 0.0000 0.0000
-0.8816 4.9849 0.0000
-1.8271 -2.5940 6.8517
Li Ni O
5 5 10
Direct
0.0000 0.0000 0.0000
0.1108 0.2175 0.7173
0.2949 0.5886 0.0908
0.7051 0.4114 0.9092
0.8892 0.7825 0.2827
0.1989 0.3952 0.3985
0.3999 0.8041 0.8036
0.5000 0.0000 0.5000
0.6001 0.1959 0.1964
0.8011 0.6048 0.6015
0.0572 0.6134 0.8365
0.1730 0.7846 0.5513
0.2735 0.0241 0.2696
0.3696 0.1948 0.9602
0.4416 0.3927 0.6380
0.5584 0.6073 0.3620
0.6304 0.8052 0.0398
0.7265 0.9759 0.7304
0.8270 0.2154 0.4487
0.9428 0.3866 0.1635
```

Largest 10 diffraction maxima, low angle first, 2θ from 10° to 90°:
| 2θ (°) | I_rel |
| --- | --- |
| 12.9 | 632 |
| 18.8 | 1000 |
| 23.0 | 187 |
| 27.0 | 152 |
| 37.9 | 219 |
| 38.3 | 151 |
| 43.1 | 517 |
| 44.1 | 482 |
| 45.3 | 460 |
| 63.2 | 151 |

---

# 5
Diffraction record for Li13Ni9O22. The PXRD pattern is simulated, not measured: it uses a DFT-relaxed cell (PBE+U, the Materials Project) and Cu Ka.
Kinematic intensities with the Lorentz-polarization factor, no thermal factor.

Crystal structure
```
Li13Ni9O22
1.0
6.3788 0.0000 0.0000
-2.0346 6.0886 0.0000
-2.5147 -2.0023 9.4769
Li Ni O
13 9 22
Direct
0.0000 0.0000 0.0000
0.0871 0.4507 0.6356
0.1791 0.9119 0.2723
0.1811 0.9080 0.7731
0.2744 0.3636 0.9083
0.3588 0.8182 0.5464
0.4595 0.2656 0.1815
0.5405 0.7344 0.8185
0.6412 0.1818 0.4536
0.7256 0.6364 0.0917
0.8189 0.0920 0.2269
0.8209 0.0881 0.7277
0.9129 0.5493 0.3644
0.0000 0.0000 0.5000
0.0918 0.4577 0.1371
0.2708 0.3622 0.4078
0.3641 0.8197 0.0454
0.4533 0.2665 0.6805
0.5467 0.7335 0.3195
0.6359 0.1803 0.9546
0.7292 0.6378 0.5922
0.9082 0.5423 0.8629
0.0252 0.7387 0.5649
0.0640 0.7221 0.0690
0.1452 0.1746 0.6883
0.1485 0.2156 0.2135
0.2197 0.6420 0.8571
0.2454 0.6355 0.3429
0.2950 0.0862 0.4741
0.3421 0.0832 0.9841
0.3943 0.5613 0.1112
0.4171 0.5256 0.6040
0.4919 0.9741 0.2377
0.5081 0.0259 0.7623
0.5829 0.4744 0.3960
0.6057 0.4387 0.8888
0.6579 0.9168 0.0159
0.7050 0.9138 0.5259
0.7546 0.3645 0.6571
0.7803 0.3580 0.1429
0.8515 0.7844 0.7865
0.8548 0.8254 0.3117
0.9360 0.2779 0.9310
0.9748 0.2613 0.4351
```

Largest 10 diffraction maxima, low angle first, 2θ from 10° to 90°:
| 2θ (°) | I_rel |
| --- | --- |
| 18.8 | 1000 |
| 20.3 | 98 |
| 36.3 | 145 |
| 37.0 | 123 |
| 37.3 | 115 |
| 44.0 | 267 |
| 44.8 | 249 |
| 45.2 | 241 |
| 48.8 | 87 |
| 64.6 | 138 |

---

# 6
Diffraction record for Li15Ni14O28. The PXRD pattern is simulated, not measured: it uses a DFT-relaxed cell (PBE+U, the Materials Project) and Cu Ka.
Kinematic intensities with the Lorentz-polarization factor, no thermal factor.

Crystal structure
```
Li15Ni14O28
1.0
4.9934 -1.4685 0.0000
4.9934 1.4685 0.0000
-2.8409 0.0000 34.0463
Li Ni O
15 14 28
Direct
0.0000 0.0000 0.0000
0.0015 0.0015 0.5025
0.1229 0.1229 0.1307
0.1434 0.1434 0.6446
0.1993 0.1993 0.2493
0.2370 0.2370 0.1872
0.2860 0.2860 0.7868
0.4290 0.4290 0.9297
0.4318 0.4318 0.4334
0.5684 0.5684 0.0683
0.5722 0.5722 0.5733
0.7146 0.7146 0.7155
0.7646 0.7646 0.3092
0.8576 0.8576 0.8585
0.8755 0.8755 0.3684
0.0005 0.0005 0.7513
0.1429 0.1429 0.8941
0.1457 0.1457 0.3963
0.2861 0.2861 0.0350
0.2867 0.2867 0.5377
0.4290 0.4290 0.6800
0.4513 0.4513 0.1783
0.5566 0.5566 0.3262
0.5716 0.5716 0.8228
0.7144 0.7144 0.9650
0.7162 0.7162 0.4670
0.8577 0.8577 0.6088
0.8604 0.8604 0.1055
0.9762 0.9762 0.2529
0.0604 0.0604 0.6999
0.0664 0.0664 0.1993
0.0831 0.0831 0.9452
0.0854 0.0854 0.4476
0.1994 0.1994 0.3437
0.2030 0.2030 0.8429
0.2262 0.2262 0.5889
0.2276 0.2276 0.0857
0.3457 0.3457 0.9844
0.3477 0.3477 0.4866
0.3637 0.3637 0.2310
0.3692 0.3692 0.7315
0.4890 0.4890 0.6285
0.4945 0.4945 0.1217
0.5117 0.5117 0.3787
0.5116 0.5116 0.8743
0.6128 0.6128 0.2744
0.6318 0.6318 0.7712
0.6533 0.6533 0.0157
0.6553 0.6553 0.5180
0.7745 0.7745 0.9139
0.7772 0.7772 0.4159
0.7976 0.7976 0.6602
0.8043 0.8043 0.1568
0.9167 0.9167 0.0538
0.9178 0.9178 0.5574
0.9392 0.9392 0.3113
0.9404 0.9404 0.8027
```

Largest 10 diffraction maxima, low angle first, 2θ from 10° to 90°:
| 2θ (°) | I_rel |
| --- | --- |
| 18.2 | 1000 |
| 35.9 | 310 |
| 37.0 | 123 |
| 37.9 | 98 |
| 43.0 | 473 |
| 44.9 | 192 |
| 48.0 | 83 |
| 56.5 | 118 |
| 63.3 | 181 |
| 64.6 | 121 |